Starting from the PBE geometry in Alexandria, the powder X-ray diffraction pattern of Sm2Tm3Cd was calculated for a wavelength of 1.5418 Å.

Crystal structure
abc: 3.396 17.079 6.499
angles: 90.00 90.00 90.00
Space group Imm2 (No. 44)
Unique sites:
Sm 0.000 0.192 0.000 (multiplicity 4)
Tm 0.000 0.131 0.507 (multiplicity 4)
Tm 0.000 0.500 0.314 (multiplicity 2)
Cd 0.000 0.000 0.206 (multiplicity 2)

Peak list (10 most intense, 2θ = 10–90°, in order of rising 2θ)
| two_theta | d/Å | I/Imax | (hkl) |
| --- | --- | --- | --- |
| 29.41 | 3.037 | 67 | 0 2 2 |
| 29.54 | 3.024 | 100 | 0 5 1 |
| 30.66 | 2.916 | 93 | 1 3 0 |
| 31.49 | 2.841 | 100 | 0 6 0 |
| 34.69 | 2.586 | 53 | 0 4 2 |
| 36.53 | 2.460 | 64 | 1 4 1 |
| 38.71 | 2.326 | 49 | 1 1 2 |
| 41.61 | 2.170 | 68 | 1 3 2 |
| 52.56 | 1.741 | 58 | 1 8 1 |
| 62.74 | 1.481 | 39 | 2 5 1 |